Structure and theoretical powder diffraction line list of K2BeO (DFT lattice parameters and positions (GGA-PBE); Cu Kα, 1.54184 Å).

The 10 most intense peaks (2θ from 10° to 90°), low angle first:
- (0 1 0), 14.37°, d = 6.164 Å, I 95
- (1 1 0), 18.94°, d = 4.685 Å, I 42
- (0 1 -1), 22.88°, d = 3.887 Å, I 54
- (1 1 2), 24.38°, d = 3.650 Å, I 46
- (1 2 1), 25.42°, d = 3.504 Å, I 97
- (0 1 2), 26.02°, d = 3.425 Å, I 47
- (1 0 2), 28.24°, d = 3.160 Å, I 56
- (2 1 1), 30.46°, d = 2.935 Å, I 100
- (0 2 2), 32.37°, d = 2.766 Å, I 63
- (2 3 3), 45.04°, d = 2.013 Å, I 44

Crystal structure
```
data_K2BeO
_symmetry_space_group_name_H-M 'P -1'
_symmetry_Int_Tables_number 2
_cell_length_a 5.870
_cell_length_b 7.173
_cell_length_c 7.583
_cell_angle_alpha 63.69
_cell_angle_beta 67.26
_cell_angle_gamma 65.99
loop_
_symmetry_equiv_pos_as_xyz
'x,y,z'
'-x,-y,-z'
loop_
_atom_site_label
_atom_site_type_symbol
_atom_site_fract_x
_atom_site_fract_y
_atom_site_fract_z
_atom_site_occupancy
K1 K 0.139 0.105 0.117 1
K2 K 0.358 0.260 0.524 1
Be1 Be 0.442 0.667 0.946 1
O1 O 0.381 0.894 0.842 1
```